Record 1
EuCN2: theoretical powder diffraction line list (Cu Kα (weighted mean of Kα1 and Kα2)), based on a crystal structure in the Materials Project, relaxed with GGA-PBE.
Lines closer than 0.1° are merged.

Main lines, in order of rising 2θ (10° ≤ 2θ ≤ 90°):
17.9 deg, I 45
21.9 deg, I 46
26.9 deg, I 48
28.1 deg, I 43
29.0 deg, I 100
33.9 deg, I 21
35.7 deg, I 17
40.7 deg, I 28
41.2 deg, I 28
46.3 deg, I 24
46.6 deg, I 19
50.0 deg, I 25

Structural model:
Cell lengths 12.3430, 3.9302, 5.4083 Å; angles 90.00, 90.00, 90.00 degrees
Space group Pnma (No. 62)
Inequivalent atoms, fractional coordinates:
Eu  0.1307  0.2500  0.1172 [4 per cell]
C  0.1228  0.7500  0.6189 [4 per cell]
N  0.0764  0.7500  0.8225 [4 per cell]
N  0.1714  0.7500  0.4176 [4 per cell]


Record 2
Na3EuC3O9: theoretical powder diffraction line list (Cu Kα (weighted mean of Kα1 and Kα2)), based on a crystal structure in the Materials Project, relaxed with GGA-PBE.
Lines closer than 0.1° are merged.

Main lines, in order of rising 2θ (10° ≤ 2θ ≤ 90°):
15.9 deg, I 40
16.9 deg, I 100
17.5 deg, I 40
28.3 deg, I 26
29.2 deg, I 15
30.2 deg, I 38
34.2 deg, I 44
35.4 deg, I 19
38.0 deg, I 13
40.6 deg, I 17
43.4 deg, I 15
46.5 deg, I 13

Structural model:
Cell lengths 10.1446, 11.1816, 7.3131 Å; angles 90.00, 90.00, 90.00 degrees
Space group Ama2 (No. 40)
Inequivalent atoms, fractional coordinates:
Na  0.0000  0.0000  0.0000 [4 per cell]
Na  0.2500  0.0168  0.3223 [4 per cell]
Na  0.2500  0.2940  0.4377 [4 per cell]
Eu  0.2500  0.2271  0.9341 [4 per cell]
C  0.0010  0.2980  0.7613 [8 per cell]
C  0.2500  0.0112  0.7049 [4 per cell]
O  0.0092  0.1998  0.8531 [8 per cell]
O  0.1085  0.3587  0.7303 [8 per cell]
O  0.1119  0.1627  0.2043 [8 per cell]
O  0.2500  0.0075  0.8851 [4 per cell]
O  0.2500  0.1148  0.6265 [4 per cell]
O  0.2500  0.4135  0.1118 [4 per cell]


Record 3
EuCO4: theoretical powder diffraction line list (Cu Kα (weighted mean of Kα1 and Kα2)), based on a crystal structure in the Materials Project, relaxed with GGA-PBE.
Lines closer than 0.1° are merged.

Main lines, in order of rising 2θ (10° ≤ 2θ ≤ 90°):
16.1 deg, I 29
20.5 deg, I 100
20.9 deg, I 41
23.9 deg, I 38
24.3 deg, I 27
26.7 deg, I 44
30.4 deg, I 55
35.7 deg, I 25
37.2 deg, I 24
38.5 deg, I 44
43.6 deg, I 33
45.1 deg, I 40

Structural model:
Cell lengths 5.0348, 7.2581, 8.4975 Å; angles 90.00, 90.00, 90.00 degrees
Space group P2_12_12_1 (No. 19)
Inequivalent atoms, fractional coordinates:
Eu  0.0039  0.1027  0.1776 [4 per cell]
C  0.0014  0.0500  0.8240 [4 per cell]
O  0.0020  0.8000  0.1231 [4 per cell]
O  0.0056  0.4527  0.8018 [4 per cell]
O  0.2162  0.5995  0.6071 [4 per cell]
O  0.2275  0.0916  0.8875 [4 per cell]


Record 4
EuCO3: theoretical powder diffraction line list (Cu Kα (weighted mean of Kα1 and Kα2)), based on a crystal structure in the Materials Project, relaxed with GGA-PBE.
Lines closer than 0.1° are merged.

Main lines, in order of rising 2θ (10° ≤ 2θ ≤ 90°):
20.1 deg, I 12
24.9 deg, I 100
25.6 deg, I 50
29.4 deg, I 17
34.7 deg, I 16
35.9 deg, I 19
36.1 deg, I 28
43.6 deg, I 34
45.2 deg, I 16
46.1 deg, I 15
47.3 deg, I 27
49.5 deg, I 20

Structural model:
Cell lengths 6.0724, 5.1742, 8.4999 Å; angles 90.00, 90.00, 90.00 degrees
Space group Pnma (No. 62)
Inequivalent atoms, fractional coordinates:
Eu  0.2443  0.2500  0.0838 [4 per cell]
C  0.0866  0.2500  0.7407 [4 per cell]
O  0.0869  0.0320  0.8178 [8 per cell]
O  0.0981  0.2500  0.5879 [4 per cell]


Record 5
EuRh3C: theoretical powder diffraction line list (Cu Kα (weighted mean of Kα1 and Kα2)), based on a crystal structure in the Materials Project, relaxed with GGA-PBE.
Lines closer than 0.1° are merged.

Main lines, in order of rising 2θ (10° ≤ 2θ ≤ 90°):
21.0 deg, I 1
29.9 deg, I 4
36.9 deg, I 100
42.8 deg, I 53
48.2 deg, I 1
53.1 deg, I 2
62.2 deg, I 35
66.4 deg, I 1
70.5 deg, I 1
74.5 deg, I 38
78.5 deg, I 12
86.2 deg, I 1

Structural model:
Cell lengths 4.2231, 4.2231, 4.2231 Å; angles 90.00, 90.00, 90.00 degrees
Space group Pm-3m (No. 221)
Inequivalent atoms, fractional coordinates:
Eu  0.0000  0.0000  0.0000 [1 per cell]
Rh  0.0000  0.5000  0.5000 [3 per cell]
C  0.5000  0.5000  0.5000 [1 per cell]


Record 6
SrEuC4: theoretical powder diffraction line list (Cu Kα (weighted mean of Kα1 and Kα2)), based on a crystal structure in the Materials Project, relaxed with GGA-PBE.
Lines closer than 0.1° are merged.

Main lines, in order of rising 2θ (10° ≤ 2θ ≤ 90°):
25.7 deg, I 100
26.6 deg, I 38
31.2 deg, I 62
41.4 deg, I 45
44.6 deg, I 22
46.4 deg, I 31
52.1 deg, I 16
52.3 deg, I 16
52.7 deg, I 22
66.3 deg, I 10
66.4 deg, I 10
74.6 deg, I 9

Structural model:
Cell lengths 5.7337, 6.6963, 5.7501 Å; angles 90.00, 90.00, 90.00 degrees
Space group Cmmm (No. 65)
Inequivalent atoms, fractional coordinates:
Sr  0.0000  0.0000  0.0000 [2 per cell]
Eu  0.0000  0.5000  0.5000 [2 per cell]
C  0.0000  0.0949  0.5000 [4 per cell]
C  0.0000  0.4058  0.0000 [4 per cell]


Record 7
GaP2C3N2O8F: theoretical powder diffraction line list (Cu Kα (weighted mean of Kα1 and Kα2)), based on a crystal structure in the Materials Project, relaxed with GGA-PBE.
Lines closer than 0.1° are merged.

Main lines, in order of rising 2θ (10° ≤ 2θ ≤ 90°):
10.1 deg, I 100
11.1 deg, I 10
15.8 deg, I 12
20.2 deg, I 7
22.4 deg, I 8
26.8 deg, I 8
28.2 deg, I 5
30.9 deg, I 8
31.9 deg, I 4
33.3 deg, I 6
38.2 deg, I 5
54.3 deg, I 4

Structural model:
Cell lengths 10.5219, 15.8772, 7.3223 Å; angles 90.00, 90.00, 90.00 degrees
Space group Cmcm (No. 63)
Inequivalent atoms, fractional coordinates:
Ga  0.0000  0.0000  0.0000 [4 per cell]
P  0.1348  0.1349  0.2500 [8 per cell]
C  0.0000  0.3997  0.2500 [4 per cell]
C  0.1236  0.3899  0.2500 [8 per cell]
N  0.2366  0.3795  0.2500 [8 per cell]
O  0.0000  0.1859  0.2500 [4 per cell]
O  0.0000  0.2184  0.7500 [4 per cell]
O  0.1354  0.0790  0.0777 [16 per cell]
O  0.2427  0.1978  0.2500 [8 per cell]
F  0.0000  0.0477  0.7500 [4 per cell]